1.
Computed X-ray powder pattern of MgTi2O4 for Cu Ka, from a structure optimized by DFT (GGA-PBE).
Intensities are scaled so that the largest is 100.

Principal peaks in the range 10 to 90 degrees two-theta, in order of falling intensity:
2θ = 42.6°, I = 100
2θ = 18.3°, I = 89
2θ = 62.3°, I = 53
2θ = 43.2°, I = 48
2θ = 34.8°, I = 21
2θ = 18.0°, I = 15
2θ = 60.9°, I = 15
2θ = 37.2°, I = 14
2θ = 36.5°, I = 14
2θ = 77.6°, I = 13

Structural model:
Cell: 5.965 5.965 5.965 Å, 120.41 118.66 90.81°
Atoms (fractional coordinates):
Mg (0.500, 0.000, 0.000)
Mg (0.500, 0.500, 0.500)
Ti (0.000, 0.000, 0.000)
Ti (0.000, 0.000, 0.500)
Ti (0.000, 0.500, 0.000)
Ti (0.500, 0.000, 0.500)
O (0.246, 0.243, 0.003)
O (0.247, 0.221, 0.474)
O (0.247, 0.772, 0.026)
O (0.259, 0.757, 0.503)
O (0.741, 0.243, 0.497)
O (0.753, 0.228, 0.974)
O (0.753, 0.779, 0.526)
O (0.754, 0.757, 0.997)

---

2.
Computed X-ray powder pattern of PtCl2 for Cu Ka, from a structure optimized by DFT (GGA-PBE).
Intensities are scaled so that the largest is 100.

Principal peaks in the range 10 to 90 degrees two-theta, in order of falling intensity:
2θ = 12.1°, I = 100
2θ = 33.1°, I = 56
2θ = 12.7°, I = 56
2θ = 28.3°, I = 33
2θ = 42.2°, I = 21
2θ = 52.4°, I = 17
2θ = 48.1°, I = 17
2θ = 25.5°, I = 15
2θ = 45.4°, I = 14
2θ = 20.7°, I = 14

Structural model:
Cell: 8.621 8.621 8.621 Å, 108.13 108.13 108.13°
Atoms (fractional coordinates):
Pt (0.188, 0.429, 0.429)
Pt (0.429, 0.188, 0.429)
Pt (0.429, 0.429, 0.188)
Pt (0.571, 0.571, 0.812)
Pt (0.571, 0.812, 0.571)
Pt (0.812, 0.571, 0.571)
Cl (0.126, 0.126, 0.363)
Cl (0.126, 0.363, 0.126)
Cl (0.265, 0.500, 0.735)
Cl (0.265, 0.735, 0.500)
Cl (0.363, 0.126, 0.126)
Cl (0.500, 0.265, 0.735)
Cl (0.500, 0.735, 0.265)
Cl (0.637, 0.874, 0.874)
Cl (0.735, 0.265, 0.500)
Cl (0.735, 0.500, 0.265)
Cl (0.874, 0.637, 0.874)
Cl (0.874, 0.874, 0.637)

---

3.
Computed X-ray powder pattern of MgTe2Mo2W2Se4S2 for Cu Ka, from a structure optimized by DFT (GGA-PBE).
Intensities are scaled so that the largest is 100.

Principal peaks in the range 10 to 90 degrees two-theta, in order of falling intensity:
2θ = 40.4°, I = 100
2θ = 34.8°, I = 75
2θ = 31.0°, I = 54
2θ = 11.6°, I = 54
2θ = 55.1°, I = 39
2θ = 32.5°, I = 33
2θ = 37.9°, I = 31
2θ = 56.1°, I = 30
2θ = 47.7°, I = 21
2θ = 41.7°, I = 20

Structural model:
Cell: 3.335 3.335 45.765 Å, 90.00 90.00 120.00°
Atoms (fractional coordinates):
Mg (0.000, 0.000, 0.000)
Te (0.667, 0.333, 0.492)
Te (0.667, 0.333, 0.575)
Mo (0.333, 0.667, 0.533)
Mo (0.667, 0.333, 0.722)
W (0.333, 0.667, 0.902)
W (0.667, 0.333, 0.105)
Se (0.333, 0.667, 0.068)
Se (0.333, 0.667, 0.141)
Se (0.333, 0.667, 0.685)
Se (0.333, 0.667, 0.758)
S (0.667, 0.333, 0.868)
S (0.667, 0.333, 0.935)